No. 1
Diffraction record for Dy4BiIr. The powder diffractogram is simulated, not measured: it uses a crystal structure in Alexandria, relaxed with PBE and λ = 1.5418 Å (Cu Kα).
No peak broadening, texture or thermal motion is included.

```
data_Dy4BiIr
_symmetry_space_group_name_H-M 'P n m a'
_symmetry_Int_Tables_number 62
_cell_length_a 8.155
_cell_length_b 4.124
_cell_length_c 19.454
_cell_angle_alpha 90.00
_cell_angle_beta 90.00
_cell_angle_gamma 90.00
loop_
_symmetry_equiv_pos_as_xyz
'x,y,z'
'-x,-y,-z'
'-x+1/2,-y,z+1/2'
'x+1/2,y,-z+1/2'
'x+1/2,-y+1/2,-z+1/2'
'-x+1/2,y+1/2,z+1/2'
'-x,y+1/2,-z'
'x,-y+1/2,z'
loop_
_atom_site_label
_atom_site_fract_x
_atom_site_fract_y
_atom_site_fract_z
_atom_site_occupancy
Dy1 0.003 0.250 0.067 1
Dy2 0.040 0.250 0.786 1
Dy3 0.139 0.250 0.549 1
Dy4 0.146 0.250 0.358 1
Bi1 0.236 0.750 0.690 1
Ir1 0.248 0.750 0.452 1
```

Peak list (6 most intense, 2θ from 15° to 90°, sorted by position)
2θ = 30.46°, I = 100, hkl 1 1 4
2θ = 31.61°, I = 59, hkl 0 1 5
2θ = 33.87°, I = 98, hkl 2 1 3
2θ = 37.92°, I = 48, hkl 3 0 4
2θ = 38.73°, I = 46, hkl 2 1 5
2θ = 43.91°, I = 52, hkl 0 2 0

---

No. 2
Diffraction record for Ac2Pr3Nd3. The powder diffractogram is simulated, not measured: it uses a crystal structure in Alexandria, relaxed with PBE and λ = 1.5418 Å (Cu Kα).
No peak broadening, texture or thermal motion is included.

```
data_Ac2Pr3Nd3
_symmetry_space_group_name_H-M 'C 1 2/m 1'
_symmetry_Int_Tables_number 12
_cell_length_a 21.791
_cell_length_b 5.355
_cell_length_c 5.356
_cell_angle_alpha 90.00
_cell_angle_beta 104.18
_cell_angle_gamma 90.00
loop_
_symmetry_equiv_pos_as_xyz
'x,y,z'
'-x,-y,-z'
'-x,y,-z'
'x,-y,z'
'x+1/2,y+1/2,z'
'-x+1/2,-y+1/2,-z'
'-x+1/2,y+1/2,-z'
'x+1/2,-y+1/2,z'
loop_
_atom_site_label
_atom_site_fract_x
_atom_site_fract_y
_atom_site_fract_z
_atom_site_occupancy
Ac1 0.250 0.000 0.250 1
Pr1 0.000 0.000 0.000 1
Pr2 0.120 0.000 0.620 1
Nd1 0.000 0.500 0.500 1
Nd2 0.120 0.500 0.120 1
```

Peak list (6 most intense, 2θ from 15° to 90°, sorted by position)
2θ = 29.01°, I = 100, hkl 3 1 1
2θ = 33.46°, I = 35, hkl 0 2 0
2θ = 33.94°, I = 16, hkl 8 0 0
2θ = 48.41°, I = 24, hkl 8 2 0
2θ = 57.11°, I = 30, hkl 3 3 1
2θ = 57.75°, I = 14, hkl 11 1 1

---

No. 3
Diffraction record for Nd5Er4Tl4. The powder diffractogram is simulated, not measured: it uses a crystal structure in Alexandria, relaxed with PBE and λ = 1.5418 Å (Cu Kα).
No peak broadening, texture or thermal motion is included.

```
data_Nd5Er4Tl4
_symmetry_space_group_name_H-M 'I 4/m'
_symmetry_Int_Tables_number 87
_symmetry_space_group_name_Hall '-I 4'
_cell_length_a 12.652
_cell_length_b 12.652
_cell_length_c 5.039
_cell_angle_alpha 90.00
_cell_angle_beta 90.00
_cell_angle_gamma 90.00
loop_
_atom_site_label
_atom_site_fract_x
_atom_site_fract_y
_atom_site_fract_z
_atom_site_occupancy
Nd1 0.000 0.000 0.000 1
Nd2 0.106 0.194 0.500 1
Er1 0.094 0.401 0.000 1
Tl1 0.094 0.760 0.000 1
```

Peak list (6 most intense, 2θ from 15° to 90°, sorted by position)
2θ = 31.06°, I = 100, hkl 3 2 1
2θ = 34.21°, I = 16, hkl 4 1 1
2θ = 35.63°, I = 23, hkl 0 0 2
2θ = 36.20°, I = 15, hkl 1 5 0
2θ = 61.17°, I = 15, hkl 3 2 3
2θ = 65.72°, I = 13, hkl 8 3 1

---

No. 4
Diffraction record for Ce5MgTl3. The powder diffractogram is simulated, not measured: it uses a crystal structure in Alexandria, relaxed with PBE and λ = 1.5418 Å (Cu Kα).
No peak broadening, texture or thermal motion is included.

```
data_Ce5MgTl3
_symmetry_space_group_name_H-M 'P 63/m c m'
_symmetry_Int_Tables_number 193
_symmetry_space_group_name_Hall '-P 6c 2'
_cell_length_a 9.4933
_cell_length_b 9.4933
_cell_length_c 6.6469
_cell_angle_alpha 90.00
_cell_angle_beta 90.00
_cell_angle_gamma 120.00
loop_
_atom_site_label
_atom_site_fract_x
_atom_site_fract_y
_atom_site_fract_z
_atom_site_occupancy
Ce1 0.0000 0.3279 0.2500 1
Ce2 0.3333 0.6667 0.0000 1
Mg1 0.0000 0.0000 0.0000 1
Tl1 0.0000 0.3350 0.7500 1
```

Peak list (6 most intense, 2θ from 15° to 90°, sorted by position)
2θ = 32.68°, I = 100, hkl 3 0 0
2θ = 32.90°, I = 75, hkl 1 1 2
2θ = 42.77°, I = 28, hkl 3 0 2
2θ = 47.05°, I = 28, hkl 2 2 2
2θ = 58.46°, I = 29, hkl 4 1 2
2θ = 65.71°, I = 27, hkl 3 0 4

---

No. 5
Diffraction record for Pr2In2Hg. The powder diffractogram is simulated, not measured: it uses a crystal structure in Alexandria, relaxed with PBE and λ = 1.5418 Å (Cu Kα).
No peak broadening, texture or thermal motion is included.

```
data_Pr2In2Hg
_symmetry_space_group_name_H-M 'C 1 2/m 1'
_symmetry_Int_Tables_number 12
_cell_length_a 11.603
_cell_length_b 4.881
_cell_length_c 11.382
_cell_angle_alpha 90.00
_cell_angle_beta 116.28
_cell_angle_gamma 90.00
loop_
_symmetry_equiv_pos_as_xyz
'x,y,z'
'-x,-y,-z'
'-x,y,-z'
'x,-y,z'
'x+1/2,y+1/2,z'
'-x+1/2,-y+1/2,-z'
'-x+1/2,y+1/2,-z'
'x+1/2,-y+1/2,z'
loop_
_atom_site_label
_atom_site_fract_x
_atom_site_fract_y
_atom_site_fract_z
_atom_site_occupancy
Pr1 0.017 0.000 0.332 1
Pr2 0.178 0.000 0.097 1
In1 0.032 0.500 0.885 1
In2 0.141 0.500 0.564 1
Hg1 0.223 0.500 0.335 1
```

Peak list (6 most intense, 2θ from 15° to 90°, sorted by position)
2θ = 29.11°, I = 49, hkl 1 1 2
2θ = 29.99°, I = 65, hkl 1 1 -3
2θ = 30.11°, I = 35, hkl 3 1 -2
2θ = 33.09°, I = 42, hkl 3 1 -3
2θ = 35.89°, I = 100, hkl 3 1 1
2θ = 36.83°, I = 78, hkl 0 2 0

---

No. 6
Diffraction record for Tb2DyY4Sc. The powder diffractogram is simulated, not measured: it uses a crystal structure in Alexandria, relaxed with PBE and λ = 1.5418 Å (Cu Kα).
No peak broadening, texture or thermal motion is included.

```
data_Tb2DyY4Sc
_symmetry_space_group_name_H-M 'P 4/m m m'
_symmetry_Int_Tables_number 123
_symmetry_space_group_name_Hall '-P 4 2'
_cell_length_a 4.992
_cell_length_b 4.992
_cell_length_c 9.964
_cell_angle_alpha 90.00
_cell_angle_beta 90.00
_cell_angle_gamma 90.00
loop_
_atom_site_label
_atom_site_fract_x
_atom_site_fract_y
_atom_site_fract_z
_atom_site_occupancy
Tb1 0.000 0.000 0.000 1
Tb2 0.500 0.500 0.500 1
Dy1 0.000 0.000 0.500 1
Y1 0.000 0.500 0.245 1
Sc1 0.500 0.500 0.000 1
```

Peak list (6 most intense, 2θ from 15° to 90°, sorted by position)
2θ = 31.05°, I = 100, hkl 1 1 2
2θ = 36.01°, I = 50, hkl 2 0 0
2θ = 51.84°, I = 35, hkl 2 2 0
2θ = 61.66°, I = 41, hkl 3 1 2
2θ = 64.73°, I = 12, hkl 2 2 4
2θ = 84.69°, I = 17, hkl 3 3 2